Theoretical XRD peak list of CaSn2O5 for Cu Kα (weighted mean of Kα1 and Kα2), from a structure optimized by DFT (PBE).
Kinematic intensities with the Lorentz-polarization factor, no thermal factor.

Atomic structure:
a b c (Å): 6.1692 6.1692 11.9771
angles (deg): 90.00 90.00 142.91
Element x y z (fractional)
Ca: 0.0967 0.9033 0.7500
Ca: 0.9033 0.0967 0.2500
Sn: 0.1905 0.8095 0.0986
Sn: 0.1905 0.8095 0.4014
Sn: 0.8095 0.1905 0.5986
Sn: 0.8095 0.1905 0.9014
O: 0.0310 0.9690 0.1219
O: 0.0310 0.9690 0.3781
O: 0.2425 0.7575 0.5726
O: 0.2425 0.7575 0.9274
O: 0.2826 0.7174 0.2500
O: 0.7174 0.2826 0.7500
O: 0.7575 0.2425 0.0726
O: 0.7575 0.2425 0.4274
O: 0.9690 0.0310 0.6219
O: 0.9690 0.0310 0.8781

The 8 most intense peaks (2θ from 10° to 90°), low angle first:
2θ/deg, Rel. int.
15.15, 1000
23.92, 527
25.06, 476
27.04, 704
32.37, 377
32.91, 723
38.15, 239
55.04, 281

Theoretical XRD peak list of Zn2CuSbO6 for Cu Kα (weighted mean of Kα1 and Kα2), from a structure optimized by DFT (PBE).
Kinematic intensities with the Lorentz-polarization factor, no thermal factor.

Atomic structure:
a b c (Å): 5.3911 7.5286 5.4582
angles (deg): 90.00 98.92 90.00
Element x y z (fractional)
Zn: 0.0173 0.2500 0.0615
Zn: 0.4374 0.7500 0.4687
Zn: 0.5626 0.2500 0.5313
Zn: 0.9827 0.7500 0.9385
Cu: 0.0000 0.0000 0.5000
Cu: 0.0000 0.5000 0.5000
Sb: 0.5000 0.0000 0.0000
Sb: 0.5000 0.5000 0.0000
O: 0.0860 0.7500 0.5929
O: 0.2039 0.5738 0.1416
O: 0.2039 0.9262 0.1416
O: 0.3237 0.0576 0.6543
O: 0.3237 0.4424 0.6543
O: 0.4053 0.2500 0.1249
O: 0.5947 0.7500 0.8751
O: 0.6763 0.5576 0.3457
O: 0.6763 0.9424 0.3457
O: 0.7961 0.0738 0.8584
O: 0.7961 0.4262 0.8584
O: 0.9140 0.2500 0.4071

The 8 most intense peaks (2θ from 10° to 90°), low angle first:
2θ/deg, Rel. int.
32.20, 1000
33.23, 437
33.66, 371
34.87, 671
43.93, 239
48.36, 219
57.00, 222
57.55, 218

Theoretical XRD peak list of Pd3Pb2Se2 for Cu Kα (weighted mean of Kα1 and Kα2), from a structure optimized by DFT (PBE).
Kinematic intensities with the Lorentz-polarization factor, no thermal factor.

Atomic structure:
a b c (Å): 6.0548 6.0548 6.0548
angles (deg): 60.22 60.22 60.22
Element x y z (fractional)
Pd: 0.0000 0.5000 0.5000
Pd: 0.5000 0.0000 0.5000
Pd: 0.5000 0.5000 0.0000
Pb: 0.0000 0.0000 0.0000
Pb: 0.5000 0.5000 0.5000
Se: 0.2150 0.2150 0.2150
Se: 0.7850 0.7850 0.7850

The 8 most intense peaks (2θ from 10° to 90°), low angle first:
2θ/deg, Rel. int.
29.40, 795
29.51, 601
34.65, 526
36.24, 760
36.41, 346
42.14, 1000
52.19, 421
61.01, 382

Theoretical XRD peak list of CaCu3Pt4O12 for Cu Kα (weighted mean of Kα1 and Kα2), from a structure optimized by DFT (PBE).
Kinematic intensities with the Lorentz-polarization factor, no thermal factor.

Atomic structure:
a b c (Å): 6.5964 6.5964 6.5964
angles (deg): 109.47 109.47 109.47
Element x y z (fractional)
Ca: 0.0000 0.0000 0.0000
Cu: 0.0000 0.5000 0.5000
Cu: 0.5000 0.0000 0.5000
Cu: 0.5000 0.5000 0.0000
Pt: 0.0000 0.0000 0.5000
Pt: 0.0000 0.5000 0.0000
Pt: 0.5000 0.0000 0.0000
Pt: 0.5000 0.5000 0.5000
O: 0.1403 0.3066 0.8337
O: 0.1663 0.4729 0.3066
O: 0.1663 0.8597 0.6934
O: 0.3066 0.1663 0.4729
O: 0.3066 0.8337 0.1403
O: 0.4729 0.3066 0.1663
O: 0.5271 0.6934 0.8337
O: 0.6934 0.1663 0.8597
O: 0.6934 0.8337 0.5271
O: 0.8337 0.1403 0.3066
O: 0.8337 0.5271 0.6934
O: 0.8597 0.6934 0.1663

The 8 most intense peaks (2θ from 10° to 90°), low angle first:
2θ/deg, Rel. int.
23.36, 371
33.27, 1000
41.05, 82
47.76, 221
53.83, 181
59.45, 454
69.86, 125
79.60, 175

Theoretical XRD peak list of DyYFe4 for Cu Kα (weighted mean of Kα1 and Kα2), from a structure optimized by DFT (PBE).
Kinematic intensities with the Lorentz-polarization factor, no thermal factor.

Atomic structure:
a b c (Å): 5.1601 5.1601 5.1601
angles (deg): 60.00 60.00 60.00
Element x y z (fractional)
Dy: 0.0000 0.0000 0.0000
Y: 0.2500 0.2500 0.2500
Fe: 0.1245 0.6252 0.6252
Fe: 0.6252 0.1245 0.6252
Fe: 0.6252 0.6252 0.1245
Fe: 0.6252 0.6252 0.6252

The 8 most intense peaks (2θ from 10° to 90°), low angle first:
2θ/deg, Rel. int.
21.09, 116
34.77, 558
41.02, 1000
42.93, 195
62.33, 203
66.59, 301
73.40, 218
87.69, 106

Theoretical XRD peak list of Ni for Cu Kα (weighted mean of Kα1 and Kα2), from a structure optimized by DFT (PBE).
Kinematic intensities with the Lorentz-polarization factor, no thermal factor.

Atomic structure:
a b c (Å): 2.4164 2.4164 2.4164
angles (deg): 109.47 109.47 109.47
Element x y z (fractional)
Ni: 0.0000 0.0000 0.0000

The 3 most intense peaks (2θ from 10° to 90°), low angle first:
2θ/deg, Rel. int.
46.00, 1000
67.09, 148
85.19, 293

Theoretical XRD peak list of NiH4C2S4N2 for Cu Kα (weighted mean of Kα1 and Kα2), from a structure optimized by DFT (PBE).
Kinematic intensities with the Lorentz-polarization factor, no thermal factor.

Atomic structure:
a b c (Å): 7.2318 13.1162 11.1638
angles (deg): 90.00 130.36 90.00
Element x y z (fractional)
Ni: 0.1151 0.1285 0.4766
Ni: 0.1151 0.3715 0.9766
Ni: 0.8849 0.6285 0.0234
Ni: 0.8849 0.8715 0.5234
H: 0.1241 0.0832 0.9353
H: 0.1241 0.4168 0.4353
H: 0.3609 0.5047 0.5322
H: 0.3609 0.9953 0.0322
H: 0.3748 0.1469 0.3781
H: 0.3748 0.3531 0.8781
H: 0.3819 0.7332 0.0225
H: 0.3819 0.7668 0.5225
H: 0.6181 0.2332 0.4775
H: 0.6181 0.2668 0.9775
H: 0.6252 0.6469 0.1219
H: 0.6252 0.8531 0.6219
H: 0.6391 0.0047 0.9678
H: 0.6391 0.4953 0.4678
H: 0.8759 0.5832 0.5647
H: 0.8759 0.9168 0.0647
C: 0.1029 0.5264 0.2943
C: 0.1029 0.9736 0.7943
C: 0.3481 0.2384 0.7431
C: 0.3481 0.2616 0.2431
C: 0.6519 0.7384 0.7569
C: 0.6519 0.7616 0.2569
C: 0.8971 0.0264 0.2057
C: 0.8971 0.4736 0.7057
S: 0.0740 0.2304 0.0643
S: 0.0740 0.2696 0.5643
S: 0.1653 0.5075 0.8845
S: 0.1653 0.9925 0.3845
S: 0.2198 0.6309 0.2722
S: 0.2198 0.8691 0.7722
S: 0.4579 0.1305 0.7219
S: 0.4579 0.3695 0.2219
S: 0.5421 0.6305 0.7781
S: 0.5421 0.8695 0.2781
S: 0.7802 0.1309 0.2278
S: 0.7802 0.3691 0.7278
S: 0.8347 0.0075 0.6155
S: 0.8347 0.4925 0.1155
S: 0.9260 0.7304 0.4357
S: 0.9260 0.7696 0.9357
N: 0.2030 0.0211 0.9289
N: 0.2030 0.4789 0.4289
N: 0.4545 0.2104 0.3751
N: 0.4545 0.2896 0.8751
N: 0.5455 0.7104 0.1249
N: 0.5455 0.7896 0.6249
N: 0.7970 0.5211 0.5711
N: 0.7970 0.9789 0.0711

The 8 most intense peaks (2θ from 10° to 90°), low angle first:
2θ/deg, Rel. int.
12.40, 789
13.98, 507
18.26, 1000
21.06, 720
25.55, 536
26.02, 468
30.12, 623
48.06, 473

Theoretical XRD peak list of Tb2MgGe2 for Cu Kα (weighted mean of Kα1 and Kα2), from a structure optimized by DFT (PBE).
Kinematic intensities with the Lorentz-polarization factor, no thermal factor.

Atomic structure:
a b c (Å): 7.2947 7.2947 4.2789
angles (deg): 90.00 90.00 90.00
Element x y z (fractional)
Tb: 0.1777 0.3223 0.0000
Tb: 0.3223 0.8223 0.0000
Tb: 0.6777 0.1777 0.0000
Tb: 0.8223 0.6777 0.0000
Mg: 0.0000 0.0000 0.5000
Mg: 0.5000 0.5000 0.5000
Ge: 0.1235 0.6235 0.5000
Ge: 0.3765 0.1235 0.5000
Ge: 0.6235 0.8765 0.5000
Ge: 0.8765 0.3765 0.5000

The 8 most intense peaks (2θ from 10° to 90°), low angle first:
2θ/deg, Rel. int.
17.19, 160
24.40, 153
27.34, 116
32.25, 275
34.57, 1000
39.05, 183
42.24, 160
56.27, 168

Theoretical XRD peak list of SrCaTi2Ge2O10 for Cu Kα (weighted mean of Kα1 and Kα2), from a structure optimized by DFT (PBE).
Kinematic intensities with the Lorentz-polarization factor, no thermal factor.

Atomic structure:
a b c (Å): 6.8213 9.0653 7.3037
angles (deg): 90.00 114.04 90.00
Element x y z (fractional)
Sr: 0.2493 0.0000 0.0072
Sr: 0.7507 0.5000 0.9928
Ca: 0.2500 0.3468 0.5049
Ca: 0.7500 0.8468 0.4951
Ti: 0.2443 0.6745 0.7596
Ti: 0.2535 0.6689 0.2667
Ti: 0.7465 0.1689 0.7333
Ti: 0.7557 0.1745 0.2404
Ge: 0.2519 0.3575 0.0041
Ge: 0.2523 0.9886 0.5049
Ge: 0.7477 0.4886 0.4951
Ge: 0.7481 0.8575 0.9959
O: 0.0514 0.2379 0.8371
O: 0.0645 0.1148 0.3372
O: 0.1402 0.8788 0.6397
O: 0.1566 0.4629 0.1551
O: 0.2534 0.6041 0.5001
O: 0.2526 0.7287 0.9991
O: 0.3425 0.4632 0.8482
O: 0.3600 0.8777 0.3662
O: 0.4398 0.1152 0.6716
O: 0.4502 0.2379 0.1718
O: 0.5498 0.7379 0.8282
O: 0.5602 0.6152 0.3284
O: 0.6400 0.3777 0.6338
O: 0.6575 0.9632 0.1518
O: 0.7466 0.1041 0.4999
O: 0.7474 0.2287 0.0009
O: 0.8434 0.9629 0.8449
O: 0.8598 0.3788 0.3603
O: 0.9355 0.6148 0.6628
O: 0.9486 0.7379 0.1629

The 8 most intense peaks (2θ from 10° to 90°), low angle first:
2θ/deg, Rel. int.
26.54, 910
28.66, 918
30.25, 261
32.94, 1000
33.35, 595
53.54, 352
59.67, 251
62.94, 280

Theoretical XRD peak list of CsTeAu for Cu Kα (weighted mean of Kα1 and Kα2), from a structure optimized by DFT (PBE).
Kinematic intensities with the Lorentz-polarization factor, no thermal factor.

Atomic structure:
a b c (Å): 6.3503 5.5354 7.3279
angles (deg): 90.00 90.00 90.00
Element x y z (fractional)
Cs: 0.2500 0.0000 0.2110
Cs: 0.7500 0.0000 0.7890
Te: 0.2500 0.5000 0.7882
Te: 0.7500 0.5000 0.2118
Au: 0.0000 0.5000 0.5000
Au: 0.5000 0.5000 0.5000

The 8 most intense peaks (2θ from 10° to 90°), low angle first:
2θ/deg, Rel. int.
12.08, 354
16.01, 392
20.10, 511
24.55, 1000
32.35, 412
37.48, 484
50.33, 416
80.01, 345

Theoretical XRD peak list of LuZnCuAs2 for Cu Kα (weighted mean of Kα1 and Kα2), from a structure optimized by DFT (PBE).
Kinematic intensities with the Lorentz-polarization factor, no thermal factor.

Atomic structure:
a b c (Å): 4.0883 4.0883 6.6601
angles (deg): 90.00 90.00 120.00
Element x y z (fractional)
Lu: 0.0000 0.0000 0.0000
Zn: 0.6667 0.3333 0.3959
Cu: 0.3333 0.6667 0.6533
As: 0.3333 0.6667 0.2625
As: 0.6667 0.3333 0.7722

The 8 most intense peaks (2θ from 10° to 90°), low angle first:
2θ/deg, Rel. int.
28.55, 1000
37.06, 805
44.31, 661
48.39, 295
53.56, 174
59.10, 204
61.68, 147
76.76, 188

Theoretical XRD peak list of CoCl2 for Cu Kα (weighted mean of Kα1 and Kα2), from a structure optimized by DFT (PBE).
Kinematic intensities with the Lorentz-polarization factor, no thermal factor.

Atomic structure:
a b c (Å): 3.5283 3.5283 6.2052
angles (deg): 90.00 90.00 120.00
Element x y z (fractional)
Co: 0.0000 0.0000 0.0000
Cl: 0.3333 0.6667 0.2152
Cl: 0.6667 0.3333 0.7848

The 8 most intense peaks (2θ from 10° to 90°), low angle first:
2θ/deg, Rel. int.
14.27, 1000
32.67, 831
41.48, 592
51.82, 264
53.50, 254
54.04, 162
62.62, 105
68.45, 116